Record 1
Simulated powder X-ray diffraction pattern of HfGe2Ru for λ = 1.5418 Å (Cu Kα), from DFT lattice parameters and positions (PBE).
Peak positions follow from Bragg's law for the DFT cell and can differ from measured ones.

Cell and atoms:
Lattice parameters (Å, degrees): 9.3096 10.4810 8.0786 90.00 90.00 90.00
Space group Pbam (No. 55)
Asymmetric unit:
Hf  0.1663  0.1809  0.0000 [4 per cell]
Hf  0.1733  0.4518  0.2412 [8 per cell]
Ge  0.0362  0.6161  0.0000 [4 per cell]
Ge  0.0468  0.6131  0.5000 [4 per cell]
Ge  0.1321  0.9016  0.0000 [4 per cell]
Ge  0.1366  0.9051  0.5000 [4 per cell]
Ge  0.1545  0.1825  0.3469 [8 per cell]
Ru  0.0000  0.0000  0.2465 [4 per cell]
Ru  0.0977  0.7425  0.2503 [8 per cell]

Main lines, sorted by position (15 to 90 degrees two-theta):
35.59°, I 50; 37.54°, I 100; 38.82°, I 57; 39.20°, I 77; 39.65°, I 35; 41.06°, I 40; 44.88°, I 32; 64.07°, I 15; 65.49°, I 18; 78.92°, I 15



Record 2
Simulated powder X-ray diffraction pattern of HfScGe4 for λ = 1.5418 Å (Cu Kα), from DFT lattice parameters and positions (PBE).
Peak positions follow from Bragg's law for the DFT cell and can differ from measured ones.

Cell and atoms:
Lattice parameters (Å, degrees): 3.8064 3.8592 15.0515 90.00 90.00 90.00
Space group Amm2 (No. 38)
Asymmetric unit:
Hf  0.0000  0.0000  0.0000 [2 per cell]
Sc  0.5000  0.0000  0.2077 [2 per cell]
Ge  0.0000  0.0000  0.3556 [2 per cell]
Ge  0.0000  0.0000  0.6639 [2 per cell]
Ge  0.5000  0.0000  0.5449 [2 per cell]
Ge  0.5000  0.0000  0.8545 [2 per cell]

Main lines, sorted by position (15 to 90 degrees two-theta):
29.19°, I 15; 35.79°, I 20; 37.73°, I 100; 43.19°, I 11; 47.10°, I 15; 47.79°, I 14; 69.35°, I 9; 80.60°, I 10; 81.23°, I 10; 82.26°, I 10



Record 3
Simulated powder X-ray diffraction pattern of HfGeSe for λ = 1.5418 Å (Cu Kα), from DFT lattice parameters and positions (PBE).
Peak positions follow from Bragg's law for the DFT cell and can differ from measured ones.

Cell and atoms:
Lattice parameters (Å, degrees): 3.7256 3.7256 8.2479 90.00 90.00 90.00
Space group P4/nmm (No. 129, origin choice 2)
Asymmetric unit:
Hf  0.2500  0.2500  0.2388 [2 per cell]
Ge  0.2500  0.7500  0.5000 [2 per cell]
Se  0.2500  0.2500  0.8799 [2 per cell]

Main lines, sorted by position (15 to 90 degrees two-theta):
26.25°, I 76; 32.57°, I 20; 34.03°, I 44; 35.78°, I 51; 40.64°, I 100; 40.79°, I 90; 48.89°, I 53; 61.47°, I 22; 65.51°, I 44; 85.80°, I 35



Record 4
Simulated powder X-ray diffraction pattern of HfGeTe for λ = 1.5418 Å (Cu Kα), from DFT lattice parameters and positions (PBE).
Peak positions follow from Bragg's law for the DFT cell and can differ from measured ones.

Cell and atoms:
Lattice parameters (Å, degrees): 3.8996 3.8996 8.5352 90.00 90.00 90.00
Space group P4/nmm (No. 129, origin choice 2)
Asymmetric unit:
Hf  0.2500  0.2500  0.2463 [2 per cell]
Ge  0.2500  0.7500  0.0000 [2 per cell]
Te  0.2500  0.2500  0.6212 [2 per cell]

Main lines, sorted by position (15 to 90 degrees two-theta):
25.11°, I 35; 31.07°, I 45; 32.47°, I 58; 34.17°, I 52; 38.88°, I 85; 39.20°, I 100; 46.58°, I 59; 59.07°, I 26; 62.46°, I 51; 78.38°, I 32



Record 5
Simulated powder X-ray diffraction pattern of HfVGe for λ = 1.5418 Å (Cu Kα), from DFT lattice parameters and positions (PBE).
Peak positions follow from Bragg's law for the DFT cell and can differ from measured ones.

Cell and atoms:
Lattice parameters (Å, degrees): 3.6929 3.6929 7.2989 90.00 90.00 90.00
Space group P4/nmm (No. 129, origin choice 2)
Asymmetric unit:
Hf  0.2500  0.2500  0.1375 [2 per cell]
V  0.2500  0.7500  0.5000 [2 per cell]
Ge  0.2500  0.2500  0.7494 [2 per cell]

Main lines, sorted by position (15 to 90 degrees two-theta):
34.34°, I 68; 34.55°, I 100; 36.55°, I 76; 36.95°, I 27; 42.57°, I 43; 44.60°, I 45; 49.36°, I 54; 61.64°, I 38; 68.69°, I 25; 89.63°, I 26



Record 6
Simulated powder X-ray diffraction pattern of HfVGe for λ = 1.5418 Å (Cu Kα), from DFT lattice parameters and positions (PBE).
Peak positions follow from Bragg's law for the DFT cell and can differ from measured ones.

Cell and atoms:
Lattice parameters (Å, degrees): 3.7257 3.7257 14.4303 90.00 90.00 90.00
Space group I4/mmm (No. 139)
Asymmetric unit:
Hf  0.0000  0.0000  0.1768 [4 per cell]
V  0.0000  0.5000  0.0000 [4 per cell]
Ge  0.0000  0.0000  0.3720 [4 per cell]

Main lines, sorted by position (15 to 90 degrees two-theta):
30.35°, I 85; 34.03°, I 94; 36.30°, I 100; 37.39°, I 45; 39.50°, I 100; 42.49°, I 74; 48.89°, I 76; 63.13°, I 66; 64.59°, I 48; 83.71°, I 44



Record 7
Simulated powder X-ray diffraction pattern of K2Hg3Ge2Se8 for λ = 1.5418 Å (Cu Kα), from DFT lattice parameters and positions (PBE).
Peak positions follow from Bragg's law for the DFT cell and can differ from measured ones.

Cell and atoms:
Lattice parameters (Å, degrees): 20.4675 10.2506 9.0684 90.00 90.00 90.00
Space group Aea2 (No. 41)
Asymmetric unit:
K  0.1179  0.2050  0.0000 [8 per cell]
Hg  0.0000  0.0000  0.3626 [4 per cell]
Hg  0.2447  0.4538  0.2013 [8 per cell]
Ge  0.1356  0.2110  0.5077 [8 per cell]
Se  0.0369  0.2337  0.3605 [8 per cell]
Se  0.1234  0.0178  0.6551 [8 per cell]
Se  0.1318  0.4053  0.6562 [8 per cell]
Se  0.2297  0.2071  0.3595 [8 per cell]

Main lines, sorted by position (15 to 90 degrees two-theta):
15.66°, I 25; 18.43°, I 20; 21.43°, I 42; 26.25°, I 100; 26.61°, I 30; 27.68°, I 36; 29.29°, I 23; 35.06°, I 42; 35.30°, I 23; 44.31°, I 27



Record 8
Simulated powder X-ray diffraction pattern of HgGeO3 for λ = 1.5418 Å (Cu Kα), from DFT lattice parameters and positions (PBE).
Peak positions follow from Bragg's law for the DFT cell and can differ from measured ones.

Cell and atoms:
Lattice parameters (Å, degrees): 3.8203 3.8203 3.8203 90.00 90.00 90.00
Space group Pm-3m (No. 221)
Asymmetric unit:
Hg  0.0000  0.0000  0.0000 [1 per cell]
Ge  0.5000  0.5000  0.5000 [1 per cell]
O  0.0000  0.5000  0.5000 [3 per cell]

Main lines, sorted by position (15 to 90 degrees two-theta):
23.28°, I 20; 33.16°, I 100; 40.92°, I 17; 47.61°, I 28; 53.64°, I 10; 59.25°, I 39; 69.61°, I 17; 79.31°, I 18; 84.02°, I 6; 88.70°, I 6



Record 9
Simulated powder X-ray diffraction pattern of Hg2GeO4 for λ = 1.5418 Å (Cu Kα), from DFT lattice parameters and positions (PBE).
Peak positions follow from Bragg's law for the DFT cell and can differ from measured ones.

Cell and atoms:
Lattice parameters (Å, degrees): 6.5595 6.5595 6.7343 104.89 104.89 118.18
Space group P1 (No. 1)
Asymmetric unit:
Hg  0.0000  0.0000  0.0000 [1 per cell]
Hg  0.1244  0.8836  0.5063 [1 per cell]
Hg  0.3695  0.6285  0.9967 [1 per cell]
Hg  0.7601  0.2593  0.4997 [1 per cell]
Ge  0.4422  0.5764  0.4984 [1 per cell]
Ge  0.6969  0.3198  0.0074 [1 per cell]
O  0.2778  0.5998  0.6647 [1 per cell]
O  0.3077  0.2377  0.3399 [1 per cell]
O  0.3553  0.1896  0.8276 [1 per cell]
O  0.4118  0.7361  0.3406 [1 per cell]
O  0.7206  0.1532  0.1604 [1 per cell]
O  0.7752  0.7043  0.6756 [1 per cell]
O  0.8178  0.6558  0.1662 [1 per cell]
O  0.8521  0.2851  0.8415 [1 per cell]

Main lines, sorted by position (15 to 90 degrees two-theta):
21.95°, I 25; 28.28°, I 85; 30.65°, I 100; 30.93°, I 13; 35.83°, I 34; 47.85°, I 42; 53.04°, I 15; 54.49°, I 21; 62.53°, I 18; 63.82°, I 14